Entry 1:
# NaPr2S2O8F3
Simulated powder diffraction line list, Cu Kα, 1.54184 Å. Input: the GGA-PBE geometry in the Materials Project.
Peak positions follow from Bragg's law for the DFT cell and can differ from measured ones.

Main lines, sorted by position (2θ = 10–90°):
2θ (°)	intensity
14.10	93
16.61	47
24.98	49
25.98	75
26.34	45
28.65	100
30.07	80
45.63	40

Crystal structure
Unit cell a=8.654 b=8.654 c=8.304 alpha=113.43 beta=113.43 gamma=47.67
Element x y z (fractional)
Na1 0.118 0.882 0.750
Na2 0.882 0.118 0.250
Pr1 0.289 0.471 0.038
Pr2 0.471 0.289 0.538
Pr3 0.529 0.711 0.462
Pr4 0.711 0.529 0.962
S1 0.092 0.266 0.661
S2 0.266 0.092 0.161
S3 0.734 0.908 0.839
S4 0.908 0.734 0.339
O1 0.033 0.207 0.111
O2 0.044 0.346 0.844
O3 0.106 0.630 0.474
O4 0.207 0.033 0.611
O5 0.227 0.323 0.679
O6 0.323 0.227 0.179
O7 0.346 0.044 0.344
O8 0.370 0.894 0.026
O9 0.630 0.106 0.974
O10 0.654 0.956 0.656
O11 0.677 0.773 0.821
O12 0.773 0.677 0.321
O13 0.793 0.967 0.389
O14 0.894 0.370 0.526
O15 0.956 0.654 0.156
O16 0.967 0.793 0.889
F1 0.216 0.784 0.250
F2 0.397 0.512 0.840
F3 0.488 0.603 0.660
F4 0.512 0.397 0.340
F5 0.603 0.488 0.160
F6 0.784 0.216 0.750



Entry 2:
# CaAsPd
Simulated powder diffraction line list, Cu Kα, 1.54184 Å. Input: the GGA-PBE geometry in the Materials Project.
Peak positions follow from Bragg's law for the DFT cell and can differ from measured ones.

Main lines, sorted by position (2θ = 10–90°):
2θ (°)	intensity
20.28	71
32.07	100
41.23	27
42.16	14
43.19	18
43.31	27
48.26	11
61.30	28

Crystal structure
Unit cell a=7.231 b=8.757 c=16.757 alpha=90.00 beta=90.00 gamma=90.00
Element x y z (fractional)
Ca1 0.233 0.009 0.188
Ca2 0.233 0.491 0.188
Ca3 0.249 0.022 0.439
Ca4 0.249 0.478 0.439
Ca5 0.251 0.522 0.939
Ca6 0.251 0.978 0.939
Ca7 0.267 0.509 0.688
Ca8 0.267 0.991 0.688
Ca9 0.733 0.009 0.312
Ca10 0.733 0.491 0.312
Ca11 0.749 0.022 0.061
Ca12 0.749 0.478 0.061
Ca13 0.751 0.522 0.561
Ca14 0.751 0.978 0.561
Ca15 0.767 0.509 0.812
Ca16 0.767 0.991 0.812
As1 0.050 0.250 0.323
As2 0.070 0.250 0.789
As3 0.078 0.250 0.071
As4 0.144 0.250 0.567
As5 0.356 0.750 0.067
As6 0.422 0.750 0.571
As7 0.430 0.750 0.289
As8 0.450 0.750 0.823
As9 0.550 0.250 0.177
As10 0.570 0.250 0.711
As11 0.578 0.250 0.429
As12 0.644 0.250 0.933
As13 0.856 0.750 0.433
As14 0.922 0.750 0.929
As15 0.930 0.750 0.211
As16 0.950 0.750 0.677
Pd1 0.013 0.750 0.071
Pd2 0.093 0.750 0.538
Pd3 0.108 0.750 0.334
Pd4 0.110 0.750 0.808
Pd5 0.390 0.250 0.308
Pd6 0.392 0.250 0.834
Pd7 0.407 0.250 0.038
Pd8 0.487 0.250 0.571
Pd9 0.513 0.750 0.429
Pd10 0.593 0.750 0.962
Pd11 0.608 0.750 0.166
Pd12 0.610 0.750 0.692
Pd13 0.890 0.250 0.192
Pd14 0.892 0.250 0.666
Pd15 0.907 0.250 0.462
Pd16 0.987 0.250 0.929



Entry 3:
# Cr3NiP4
Simulated powder diffraction line list, Cu Kα, 1.54184 Å. Input: the GGA-PBE geometry in the Materials Project.
Peak positions follow from Bragg's law for the DFT cell and can differ from measured ones.

Main lines, sorted by position (2θ = 10–90°):
2θ (°)	intensity
32.79	69
36.97	37
45.66	80
45.72	28
47.65	100
48.94	31
55.05	31
60.22	23

Crystal structure
Unit cell a=5.336 b=3.073 c=5.958 alpha=90.00 beta=90.10 gamma=90.00
Element x y z (fractional)
Cr1 0.000 0.000 0.000
Cr2 0.015 0.500 0.387
Cr3 0.500 0.000 0.902
Ni1 0.513 0.500 0.499
P1 0.191 0.500 0.758
P2 0.314 0.000 0.264
P3 0.700 0.500 0.130
P4 0.820 0.000 0.631



Entry 4:
# DyCu2SeO2
Simulated powder diffraction line list, Cu Kα, 1.54184 Å. Input: the GGA-PBE geometry in the Materials Project.
Peak positions follow from Bragg's law for the DFT cell and can differ from measured ones.

Main lines, sorted by position (2θ = 10–90°):
2θ (°)	intensity
14.81	15
24.31	100
33.22	17
34.64	39
38.88	15
52.24	23
56.17	19
58.42	18

Crystal structure
Unit cell a=3.662 b=3.662 c=11.962 alpha=90.00 beta=90.00 gamma=90.00
Element x y z (fractional)
Dy1 0.000 0.000 0.000
Cu1 0.000 0.000 0.318
Cu2 0.000 0.000 0.682
Se1 0.000 0.000 0.500
O1 0.000 0.000 0.171
O2 0.000 0.000 0.829



Entry 5:
# Na2ThF6
Simulated powder diffraction line list, Cu Kα, 1.54184 Å. Input: the GGA-PBE geometry in the Materials Project.
Peak positions follow from Bragg's law for the DFT cell and can differ from measured ones.

Main lines, sorted by position (2θ = 10–90°):
2θ (°)	intensity
16.84	100
28.63	60
29.39	30
34.06	16
37.64	24
41.49	39
50.25	15
51.66	36

Crystal structure
Unit cell a=6.078 b=6.078 c=3.869 alpha=90.00 beta=90.00 gamma=120.00
Element x y z (fractional)
Na1 0.333 0.667 0.403
Na2 0.667 0.333 0.597
Th1 0.000 0.000 0.000
F1 0.000 0.251 0.500
F2 0.000 0.626 0.000
F3 0.251 0.000 0.500
F4 0.374 0.374 0.000
F5 0.626 0.000 0.000
F6 0.749 0.749 0.500



Repeat the fifth record exactly.
# Na2ThF6
Simulated powder diffraction line list, Cu Kα, 1.54184 Å. Input: the GGA-PBE geometry in the Materials Project.
Peak positions follow from Bragg's law for the DFT cell and can differ from measured ones.

Main lines, sorted by position (2θ = 10–90°):
2θ (°)	intensity
16.84	100
28.63	60
29.39	30
34.06	16
37.64	24
41.49	39
50.25	15
51.66	36

Crystal structure
Unit cell a=6.078 b=6.078 c=3.869 alpha=90.00 beta=90.00 gamma=120.00
Element x y z (fractional)
Na1 0.333 0.667 0.403
Na2 0.667 0.333 0.597
Th1 0.000 0.000 0.000
F1 0.000 0.251 0.500
F2 0.000 0.626 0.000
F3 0.251 0.000 0.500
F4 0.374 0.374 0.000
F5 0.626 0.000 0.000
F6 0.749 0.749 0.500